No. 1
Structure and calculated XRD peak list of Pr2NdZn3AgHg2 (a PBE-relaxed structure; Cu Kα (λ = 1.5418 Å)).
Neutral-atom scattering factors, no anomalous dispersion.

Cell and atoms:
a = 4.2011 Å, b = 7.7325 Å, c = 7.7325 Å
α = 120.06°, β = 90.00°, γ = 90.00°
Element x y z (fractional)
Pr (0.0000, 0.2026, 0.7974)
Pr (0.0000, 0.7974, 0.2026)
Nd (0.0000, 0.3924, 0.3924)
Zn (0.5000, 0.0368, 0.0368)
Zn (0.5000, 0.5581, 0.7967)
Zn (0.5000, 0.7967, 0.5581)
Ag (0.0000, 0.7964, 0.7964)
Hg (0.5000, 0.1325, 0.4636)
Hg (0.5000, 0.4636, 0.1325)

Most intense lines, 2θ from 10° to 80°, by intensity:
- 2θ 31.45, intensity 100.0
- 2θ 34.25, intensity 91.2
- 2θ 40.42, intensity 42.0
- 2θ 41.67, intensity 34.8
- 2θ 35.48, intensity 33.1
- 2θ 23.01, intensity 29.9
- 2θ 64.61, intensity 27.0
- 2θ 43.06, intensity 27.0
- 2θ 60.53, intensity 25.5
- 2θ 56.98, intensity 16.7

---

No. 2
Structure and calculated XRD peak list of NiAg2Hg (a PBE-relaxed structure; Cu Kα (λ = 1.5418 Å)).
Neutral-atom scattering factors, no anomalous dispersion.

Cell and atoms:
a = 4.5779 Å, b = 4.5779 Å, c = 4.5779 Å
α = 60.00°, β = 60.00°, γ = 60.00°
Element x y z (fractional)
Ni (0.0000, 0.0000, 0.0000)
Ag (0.5000, 0.5000, 0.5000)
Ag (0.7500, 0.7500, 0.7500)
Hg (0.2500, 0.2500, 0.2500)

Most intense lines, 2θ from 10° to 80°, by intensity:
- 2θ 39.36, intensity 100.0
- 2θ 71.37, intensity 33.2
- 2θ 56.89, intensity 16.6
- 2θ 23.81, intensity 9.7
- 2θ 27.56, intensity 9.5
- 2θ 46.52, intensity 5.4
- 2θ 64.35, intensity 4.0
- 2θ 48.72, intensity 2.9
- 2θ 62.54, intensity 2.4
- 2θ 76.45, intensity 1.9

---

No. 3
Structure and calculated XRD peak list of Ag2HgO2 (a PBE-relaxed structure; Cu Kα (λ = 1.5418 Å)).
Neutral-atom scattering factors, no anomalous dispersion.

Cell and atoms:
a = 6.1821 Å, b = 6.1821 Å, c = 8.5062 Å
α = 90.00°, β = 90.00°, γ = 90.00°
Element x y z (fractional)
Ag (0.0016, 0.2443, 0.1219)
Ag (0.2443, 0.0016, 0.8781)
Ag (0.2557, 0.5016, 0.8719)
Ag (0.4984, 0.7443, 0.6281)
Ag (0.5016, 0.2557, 0.1281)
Ag (0.7443, 0.4984, 0.3719)
Ag (0.7557, 0.9984, 0.3781)
Ag (0.9984, 0.7557, 0.6219)
Hg (0.2094, 0.2094, 0.5000)
Hg (0.2905, 0.7094, 0.2500)
Hg (0.7094, 0.2905, 0.7500)
Hg (0.7906, 0.7906, 0.0000)
O (0.1144, 0.2528, 0.7336)
O (0.2472, 0.6144, 0.4836)
O (0.2528, 0.1144, 0.2664)
O (0.3856, 0.7528, 0.0164)
O (0.6144, 0.2472, 0.5164)
O (0.7472, 0.8856, 0.7664)
O (0.7528, 0.3856, 0.9836)
O (0.8856, 0.7472, 0.2336)

Most intense lines, 2θ from 10° to 80°, by intensity:
- 2θ 34.10, intensity 100.0
- 2θ 34.81, intensity 57.8
- 2θ 35.92, intensity 45.3
- 2θ 29.30, intensity 40.1
- 2θ 28.88, intensity 27.5
- 2θ 60.77, intensity 25.4
- 2θ 54.60, intensity 23.5
- 2θ 56.07, intensity 16.0
- 2θ 32.38, intensity 14.7
- 2θ 55.09, intensity 13.2

---

No. 4
Structure and calculated XRD peak list of AgHgO3 (a PBE-relaxed structure; Cu Kα (λ = 1.5418 Å)).
Neutral-atom scattering factors, no anomalous dispersion.

Cell and atoms:
a = 5.7067 Å, b = 7.9934 Å, c = 5.5442 Å
α = 90.00°, β = 90.00°, γ = 90.00°
Element x y z (fractional)
Ag (0.0000, 0.0000, 0.0000)
Ag (0.0000, 0.5000, 0.0000)
Ag (0.5000, 0.0000, 0.5000)
Ag (0.5000, 0.5000, 0.5000)
Hg (0.0497, 0.2500, 0.4856)
Hg (0.4503, 0.7500, 0.9856)
Hg (0.5497, 0.2500, 0.0144)
Hg (0.9503, 0.7500, 0.5144)
O (0.0670, 0.7500, 0.1143)
O (0.1969, 0.5652, 0.6943)
O (0.1969, 0.9348, 0.6943)
O (0.3031, 0.0652, 0.1943)
O (0.3031, 0.4348, 0.1943)
O (0.4330, 0.2500, 0.6143)
O (0.5670, 0.7500, 0.3857)
O (0.6969, 0.5652, 0.8057)
O (0.6969, 0.9348, 0.8057)
O (0.8031, 0.0652, 0.3057)
O (0.8031, 0.4348, 0.3057)
O (0.9330, 0.2500, 0.8857)

Most intense lines, 2θ from 10° to 80°, by intensity:
- 2θ 31.74, intensity 100.0
- 2θ 32.29, intensity 23.5
- 2θ 57.24, intensity 21.2
- 2θ 31.35, intensity 21.0
- 2θ 45.63, intensity 18.8
- 2θ 56.05, intensity 12.8
- 2θ 45.38, intensity 11.9
- 2θ 56.79, intensity 11.2
- 2θ 66.32, intensity 10.6
- 2θ 52.10, intensity 10.0

---

No. 5
Structure and calculated XRD peak list of AgHgO3 (a PBE-relaxed structure; Cu Kα (λ = 1.5418 Å)).
Neutral-atom scattering factors, no anomalous dispersion.

Cell and atoms:
a = 5.9169 Å, b = 5.9169 Å, c = 5.9169 Å
α = 56.63°, β = 56.63°, γ = 56.63°
Element x y z (fractional)
Ag (0.1565, 0.1565, 0.1565)
Ag (0.8435, 0.8435, 0.8435)
Hg (0.3659, 0.3659, 0.3659)
Hg (0.6341, 0.6341, 0.6341)
O (0.0386, 0.7866, 0.4405)
O (0.2134, 0.5595, 0.9614)
O (0.4405, 0.0386, 0.7866)
O (0.5595, 0.9614, 0.2134)
O (0.7866, 0.4405, 0.0386)
O (0.9614, 0.2134, 0.5595)

Most intense lines, 2θ from 10° to 80°, by intensity:
- 2θ 31.89, intensity 100.0
- 2θ 30.29, intensity 98.3
- 2θ 44.56, intensity 38.3
- 2θ 55.83, intensity 37.6
- 2θ 56.82, intensity 27.4
- 2θ 49.07, intensity 26.1
- 2θ 74.94, intensity 18.9
- 2θ 21.85, intensity 16.7
- 2θ 19.21, intensity 16.6
- 2θ 66.65, intensity 12.8